Starting from a crystal structure in the Materials Project, relaxed with PBE, the powder diffractogram of BO3 was simulated for Cu Ka.
Peak positions follow from Bragg's law for the DFT cell and can differ from measured ones.

Cell and atoms:
Cell lengths 6.189, 6.579, 6.621 Å; angles 61.63, 77.16, 74.83 degrees
Positions (direct):
B: 0.242 0.248 0.454
B: 0.250 0.577 0.770
B: 0.750 0.423 0.230
B: 0.758 0.752 0.546
O: 0.243 0.115 0.344
O: 0.245 0.138 0.690
O: 0.245 0.341 0.905
O: 0.246 0.684 0.536
O: 0.247 0.483 0.325
O: 0.252 0.707 0.883
O: 0.748 0.293 0.117
O: 0.753 0.517 0.675
O: 0.754 0.316 0.464
O: 0.755 0.659 0.095
O: 0.755 0.862 0.310
O: 0.757 0.885 0.656

Main lines, in order of rising 2θ (5 to 70 degrees two-theta):
15.3 deg, intensity 19; 15.6 deg, intensity 20; 16.3 deg, intensity 17; 30.1 deg, intensity 100; 32.3 deg, intensity 13; 32.8 deg, intensity 13; 32.9 deg, intensity 10; 36.1 deg, intensity 10; 42.0 deg, intensity 10; 42.5 deg, intensity 9; 44.0 deg, intensity 10; 62.6 deg, intensity 7

***

Starting from a crystal structure in the Materials Project, relaxed with PBE, the powder diffractogram of BO3 was simulated for Cu Ka.
Peak positions follow from Bragg's law for the DFT cell and can differ from measured ones.

Cell and atoms:
Cell lengths 6.616, 6.616, 9.034 Å; angles 90.00, 90.00, 120.00 degrees
Positions (direct):
B: 0.148 0.123 0.000
B: 0.544 0.360 0.655
B: 0.640 0.184 0.321
B: 0.816 0.456 0.988
B: 0.877 0.025 0.667
B: 0.975 0.852 0.333
O: 0.006 0.265 0.667
O: 0.057 0.564 0.987
O: 0.078 0.715 0.327
O: 0.108 0.090 0.326
O: 0.259 0.994 0.000
O: 0.285 0.363 0.994
O: 0.405 0.122 0.658
O: 0.436 0.493 0.654
O: 0.507 0.943 0.320
O: 0.535 0.317 0.325
O: 0.637 0.922 0.661
O: 0.683 0.219 0.991
O: 0.717 0.595 0.991
O: 0.735 0.741 0.333
O: 0.781 0.465 0.658
O: 0.878 0.283 0.324
O: 0.910 0.018 0.993
O: 0.982 0.892 0.659

Main lines, in order of rising 2θ (5 to 70 degrees two-theta):
15.5 deg, intensity 43; 18.3 deg, intensity 19; 25.1 deg, intensity 9; 29.7 deg, intensity 100; 32.8 deg, intensity 33; 33.6 deg, intensity 10; 37.2 deg, intensity 23; 42.9 deg, intensity 30; 46.5 deg, intensity 22; 52.0 deg, intensity 6; 59.1 deg, intensity 12; 61.6 deg, intensity 7

***

Starting from a crystal structure in the Materials Project, relaxed with PBE, the powder diffractogram of BP2Pb2O9 was simulated for Cu Ka.
Peak positions follow from Bragg's law for the DFT cell and can differ from measured ones.

Cell and atoms:
Cell lengths 5.644, 8.314, 16.771 Å; angles 90.00, 107.42, 90.00 degrees
Positions (direct):
B: 0.075 0.248 0.215
B: 0.075 0.252 0.715
B: 0.925 0.748 0.285
B: 0.925 0.752 0.785
P: 0.143 0.045 0.855
P: 0.143 0.455 0.355
P: 0.214 0.563 0.917
P: 0.214 0.937 0.417
P: 0.786 0.063 0.583
P: 0.786 0.437 0.083
P: 0.857 0.545 0.645
P: 0.857 0.955 0.145
Pb: 0.311 0.182 0.061
Pb: 0.311 0.318 0.561
Pb: 0.333 0.688 0.133
Pb: 0.333 0.812 0.633
Pb: 0.667 0.188 0.367
Pb: 0.667 0.312 0.867
Pb: 0.689 0.682 0.439
Pb: 0.689 0.818 0.939
O: 0.004 0.548 0.582
O: 0.004 0.952 0.082
O: 0.032 0.184 0.791
O: 0.032 0.316 0.291
O: 0.036 0.124 0.650
O: 0.036 0.376 0.150
O: 0.124 0.621 0.309
O: 0.124 0.879 0.809
O: 0.137 0.095 0.448
O: 0.137 0.405 0.948
O: 0.298 0.696 0.984
O: 0.298 0.804 0.484
O: 0.317 0.185 0.224
O: 0.317 0.315 0.724
O: 0.420 0.548 0.873
O: 0.420 0.952 0.373
O: 0.423 0.074 0.896
O: 0.423 0.426 0.396
O: 0.577 0.574 0.604
O: 0.577 0.926 0.104
O: 0.580 0.048 0.627
O: 0.580 0.452 0.127
O: 0.683 0.685 0.276
O: 0.683 0.815 0.776
O: 0.702 0.196 0.516
O: 0.702 0.304 0.016
O: 0.863 0.595 0.052
O: 0.863 0.905 0.552
O: 0.876 0.121 0.191
O: 0.876 0.379 0.691
O: 0.964 0.624 0.850
O: 0.964 0.876 0.350
O: 0.968 0.684 0.709
O: 0.968 0.816 0.209
O: 0.996 0.048 0.918
O: 0.996 0.452 0.418

Main lines, in order of rising 2θ (5 to 70 degrees two-theta):
11.1 deg, intensity 44; 21.4 deg, intensity 38; 22.2 deg, intensity 39; 22.5 deg, intensity 56; 24.7 deg, intensity 44; 25.8 deg, intensity 66; 26.6 deg, intensity 100; 27.4 deg, intensity 37; 31.2 deg, intensity 58; 31.7 deg, intensity 51; 35.3 deg, intensity 58; 41.3 deg, intensity 39

***

Starting from a crystal structure in the Materials Project, relaxed with PBE, the powder diffractogram of BPPb4O8 was simulated for Cu Ka.
Peak positions follow from Bragg's law for the DFT cell and can differ from measured ones.

Cell and atoms:
Cell lengths 10.343, 7.121, 13.129 Å; angles 90.00, 112.96, 90.00 degrees
Positions (direct):
B: 0.042 0.234 0.362
B: 0.042 0.266 0.862
B: 0.958 0.734 0.138
B: 0.958 0.766 0.638
P: 0.399 0.750 0.101
P: 0.399 0.750 0.601
P: 0.601 0.250 0.399
P: 0.601 0.250 0.899
Pb: 0.048 0.695 0.425
Pb: 0.048 0.805 0.925
Pb: 0.259 0.508 0.793
Pb: 0.259 0.992 0.293
Pb: 0.268 0.009 0.765
Pb: 0.268 0.491 0.265
Pb: 0.368 0.226 0.068
Pb: 0.368 0.274 0.568
Pb: 0.632 0.726 0.432
Pb: 0.632 0.774 0.932
Pb: 0.732 0.509 0.735
Pb: 0.732 0.991 0.235
Pb: 0.741 0.008 0.707
Pb: 0.741 0.492 0.207
Pb: 0.952 0.195 0.075
Pb: 0.952 0.305 0.575
O: 0.025 0.633 0.597
O: 0.025 0.867 0.097
O: 0.030 0.587 0.205
O: 0.030 0.913 0.705
O: 0.185 0.249 0.388
O: 0.185 0.251 0.888
O: 0.208 0.219 0.162
O: 0.208 0.281 0.662
O: 0.294 0.584 0.089
O: 0.294 0.916 0.589
O: 0.327 0.611 0.503
O: 0.327 0.889 0.003
O: 0.434 0.641 0.712
O: 0.434 0.859 0.212
O: 0.463 0.173 0.404
O: 0.463 0.327 0.904
O: 0.537 0.673 0.096
O: 0.537 0.827 0.596
O: 0.566 0.141 0.788
O: 0.566 0.359 0.288
O: 0.673 0.111 0.997
O: 0.673 0.389 0.497
O: 0.706 0.084 0.411
O: 0.706 0.416 0.911
O: 0.792 0.719 0.338
O: 0.792 0.781 0.838
O: 0.815 0.749 0.112
O: 0.815 0.751 0.612
O: 0.970 0.087 0.295
O: 0.970 0.413 0.795
O: 0.975 0.133 0.903
O: 0.975 0.367 0.403

Main lines, in order of rising 2θ (5 to 70 degrees two-theta):
18.7 deg, intensity 25; 19.3 deg, intensity 26; 22.5 deg, intensity 48; 28.0 deg, intensity 76; 28.1 deg, intensity 57; 29.1 deg, intensity 76; 31.4 deg, intensity 100; 34.4 deg, intensity 20; 34.7 deg, intensity 25; 39.1 deg, intensity 21; 45.0 deg, intensity 21; 45.8 deg, intensity 23

***

Starting from a crystal structure in the Materials Project, relaxed with PBE, the powder diffractogram of BP2Pb2O9 was simulated for Cu Ka.
Peak positions follow from Bragg's law for the DFT cell and can differ from measured ones.

Cell and atoms:
Cell lengths 5.597, 17.477, 10.094 Å; angles 90.00, 123.29, 90.00 degrees
Positions (direct):
B: 0.097 0.189 0.239
B: 0.097 0.311 0.739
B: 0.903 0.689 0.261
B: 0.903 0.811 0.761
P: 0.139 0.078 0.434
P: 0.139 0.422 0.934
P: 0.321 0.638 0.552
P: 0.321 0.862 0.052
P: 0.679 0.138 0.948
P: 0.679 0.362 0.448
P: 0.861 0.578 0.066
P: 0.861 0.922 0.566
Pb: 0.114 0.625 0.812
Pb: 0.114 0.875 0.312
Pb: 0.478 0.035 0.190
Pb: 0.478 0.465 0.690
Pb: 0.522 0.535 0.310
Pb: 0.522 0.965 0.810
Pb: 0.886 0.125 0.688
Pb: 0.886 0.375 0.188
O: 0.026 0.017 0.302
O: 0.026 0.483 0.802
O: 0.111 0.582 0.554
O: 0.111 0.918 0.054
O: 0.113 0.605 0.057
O: 0.113 0.895 0.557
O: 0.186 0.250 0.196
O: 0.186 0.250 0.696
O: 0.186 0.664 0.370
O: 0.186 0.836 0.870
O: 0.258 0.149 0.381
O: 0.258 0.351 0.881
O: 0.361 0.708 0.655
O: 0.361 0.792 0.155
O: 0.405 0.055 0.594
O: 0.405 0.095 0.907
O: 0.405 0.405 0.407
O: 0.405 0.445 0.094
O: 0.595 0.555 0.906
O: 0.595 0.595 0.593
O: 0.595 0.905 0.093
O: 0.595 0.945 0.406
O: 0.639 0.208 0.845
O: 0.639 0.292 0.345
O: 0.742 0.649 0.119
O: 0.742 0.851 0.619
O: 0.814 0.164 0.130
O: 0.814 0.336 0.630
O: 0.814 0.750 0.304
O: 0.814 0.750 0.804
O: 0.887 0.105 0.443
O: 0.887 0.395 0.943
O: 0.889 0.082 0.946
O: 0.889 0.418 0.446
O: 0.974 0.517 0.198
O: 0.974 0.983 0.698

Main lines, in order of rising 2θ (5 to 70 degrees two-theta):
10.1 deg, intensity 100; 18.8 deg, intensity 36; 21.1 deg, intensity 32; 21.7 deg, intensity 27; 26.9 deg, intensity 43; 27.0 deg, intensity 38; 28.0 deg, intensity 93; 28.5 deg, intensity 39; 32.0 deg, intensity 54; 32.5 deg, intensity 50; 46.2 deg, intensity 31; 46.4 deg, intensity 27

***

Starting from a crystal structure in the Materials Project, relaxed with PBE, the powder diffractogram of RbZnBP2O8 was simulated for Cu Ka.
Peak positions follow from Bragg's law for the DFT cell and can differ from measured ones.

Cell and atoms:
Cell lengths 7.547, 7.757, 7.960 Å; angles 118.63, 101.66, 103.71 degrees
Positions (direct):
Rb: 0.225 0.338 0.083
Rb: 0.775 0.662 0.917
Zn: 0.302 0.706 0.759
Zn: 0.698 0.294 0.241
B: 0.202 0.926 0.431
B: 0.798 0.074 0.569
P: 0.050 0.221 0.419
P: 0.465 0.890 0.225
P: 0.535 0.110 0.775
P: 0.950 0.779 0.581
O: 0.053 0.755 0.422
O: 0.091 0.815 0.776
O: 0.096 0.015 0.337
O: 0.238 0.419 0.524
O: 0.300 0.814 0.297
O: 0.338 0.095 0.644
O: 0.416 0.704 0.004
O: 0.481 0.101 0.250
O: 0.519 0.899 0.750
O: 0.584 0.296 0.996
O: 0.662 0.905 0.356
O: 0.700 0.186 0.703
O: 0.762 0.581 0.476
O: 0.904 0.985 0.663
O: 0.909 0.185 0.224
O: 0.947 0.245 0.578

Main lines, in order of rising 2θ (5 to 70 degrees two-theta):
15.0 deg, intensity 40; 23.7 deg, intensity 55; 23.9 deg, intensity 67; 24.4 deg, intensity 100; 24.6 deg, intensity 68; 25.7 deg, intensity 40; 26.2 deg, intensity 34; 28.5 deg, intensity 37; 28.6 deg, intensity 76; 29.9 deg, intensity 49; 30.7 deg, intensity 36; 31.2 deg, intensity 37